Nd6Ga3Fe11: simulated powder diffraction line list (a wavelength of 1.5418 Å), based on a GGA-PBE-relaxed structure.
Lines closer than 0.1° are merged.

Principal peaks in the range 10° ≤ 2θ ≤ 90°, in order of falling intensity:
two_theta  I_rel
31.13  100.0
34.92  69.6
27.06  58.6
37.83  50.2
50.22  39.0
42.69  36.2
46.23  32.9
38.24  28.2
64.92  25.6
57.47  25.0
31.76  24.8
38.36  21.5

Atomic structure:
Cell: 13.0628 13.0628 13.0628 Å, 143.76 143.76 52.18°
Fractional positions:
1 Nd 0.0000 0.0000 0.0000
2 Nd 0.0872 0.2519 0.5000
3 Nd 0.1246 0.9639 0.5000
4 Nd 0.2106 0.2106 0.0000
5 Nd 0.2519 0.7519 0.1648
6 Nd 0.4639 0.6246 0.5000
7 Nd 0.5000 0.5000 0.0000
8 Nd 0.5872 0.0872 0.8352
9 Nd 0.6246 0.1246 0.1607
10 Nd 0.7106 0.7106 0.0000
11 Nd 0.7519 0.5872 0.5000
12 Nd 0.9639 0.4639 0.8393
13 Ga 0.0798 0.5798 0.2582
14 Ga 0.3216 0.8216 0.7418
15 Ga 0.3550 0.3550 0.0000
16 Ga 0.5798 0.3216 0.5000
17 Ga 0.8216 0.0798 0.5000
18 Ga 0.8550 0.8550 0.0000
19 Fe 0.0365 0.3151 0.1422
20 Fe 0.1048 0.6048 0.5000
21 Fe 0.1256 0.6256 0.7280
22 Fe 0.1729 0.8942 0.8578
23 Fe 0.2248 0.3680 0.5000
24 Fe 0.3151 0.1729 0.2786
25 Fe 0.3363 0.4864 0.5000
26 Fe 0.3680 0.8680 0.1431
27 Fe 0.3942 0.6729 0.8578
28 Fe 0.3975 0.1256 0.5000
29 Fe 0.4864 0.9864 0.1501
30 Fe 0.5365 0.3942 0.7214
31 Fe 0.6048 0.1048 0.5000
32 Fe 0.6256 0.8975 0.5000
33 Fe 0.6729 0.8151 0.2786
34 Fe 0.7248 0.2248 0.8569
35 Fe 0.8151 0.5365 0.1422
36 Fe 0.8363 0.3363 0.8499
37 Fe 0.8680 0.7248 0.5000
38 Fe 0.8942 0.0365 0.7214
39 Fe 0.8975 0.3975 0.2720
40 Fe 0.9864 0.8363 0.5000

---

Mg6NbAl: simulated powder diffraction line list (a wavelength of 1.5418 Å), based on a GGA-PBE-relaxed structure.
Lines closer than 0.1° are merged.

Principal peaks in the range 10° ≤ 2θ ≤ 90°, in order of falling intensity:
two_theta  I_rel
38.77  100.0
37.45  61.6
35.99  42.1
16.89  36.3
34.17  32.0
71.36  27.1
24.62  26.0
16.18  23.7
50.47  20.5
66.55  19.2
59.29  18.3
74.82  17.4

Atomic structure:
Cell: 4.9908 6.2419 6.2419 Å, 57.23 90.00 90.00°
Fractional positions:
1 Mg 0.0000 0.0000 0.0000
2 Mg 0.0000 0.0128 0.4989
3 Mg 0.0000 0.4962 0.4962
4 Mg 0.0000 0.4989 0.0128
5 Mg 0.5000 0.3417 0.8393
6 Mg 0.5000 0.8393 0.3417
7 Nb 0.5000 0.3423 0.3423
8 Al 0.5000 0.8379 0.8379

---

Li2AgF4: simulated powder diffraction line list (a wavelength of 1.5418 Å), based on a GGA-PBE-relaxed structure.
Lines closer than 0.1° are merged.

Principal peaks in the range 10° ≤ 2θ ≤ 90°, in order of falling intensity:
two_theta  I_rel
17.95  100.0
19.70  86.4
17.13  83.4
36.50  60.0
29.57  44.5
29.26  42.3
40.01  35.0
50.13  31.3
38.64  27.1
33.67  23.0
33.22  21.6
32.55  20.8

Atomic structure:
Cell: 5.3219 3.1589 11.1519 Å, 90.00 111.80 90.00°
Fractional positions:
1 Li 0.1788 0.1563 0.4427
2 Li 0.1788 0.8437 0.9427
3 Li 0.8212 0.1563 0.0573
4 Li 0.8212 0.8437 0.5573
5 Ag 0.5000 0.3487 0.7500
6 Ag 0.5000 0.6513 0.2500
7 F 0.2082 0.1485 0.1044
8 F 0.2082 0.8515 0.6044
9 F 0.2894 0.3410 0.8757
10 F 0.2894 0.6590 0.3757
11 F 0.7106 0.3410 0.6243
12 F 0.7106 0.6590 0.1243
13 F 0.7918 0.1485 0.3956
14 F 0.7918 0.8515 0.8956

---

U3O7: simulated powder diffraction line list (a wavelength of 1.5418 Å), based on a GGA-PBE-relaxed structure.
Lines closer than 0.1° are merged.

Principal peaks in the range 10° ≤ 2θ ≤ 90°, in order of falling intensity:
two_theta  I_rel
28.66  100.0
47.45  35.5
33.53  26.7
55.76  16.6
56.93  15.4
32.59  15.0
57.07  13.8
48.05  8.9
48.25  7.8
76.66  6.8
89.24  6.2
76.77  6.2

Atomic structure:
Cell: 6.5692 6.5692 6.5692 Å, 146.49 130.55 61.06°
Fractional positions:
1 U 0.0000 0.0000 0.0000
2 U 0.3450 0.3450 0.0000
3 U 0.6550 0.6550 0.0000
4 O 0.0573 0.8232 0.2340
5 O 0.2170 0.5000 0.7170
6 O 0.4108 0.1768 0.2340
7 O 0.5000 0.0000 0.5000
8 O 0.5892 0.8232 0.7660
9 O 0.7830 0.5000 0.2830
10 O 0.9427 0.1768 0.7660

---

ErH: simulated powder diffraction line list (a wavelength of 1.5418 Å), based on a GGA-PBE-relaxed structure.
Lines closer than 0.1° are merged.

Principal peaks in the range 10° ≤ 2θ ≤ 90°, in order of falling intensity:
two_theta  I_rel
33.21  100.0
28.58  23.6
62.05  22.1
33.47  21.4
50.62  20.7
59.67  18.8
61.89  16.8
44.58  15.2
83.94  14.5
81.98  7.7
69.71  4.0
59.16  3.2

Atomic structure:
Cell: 3.6065 3.6065 5.3545 Å, 90.00 90.00 120.00°
Fractional positions:
1 Er 0.3333 0.6667 0.2500
2 Er 0.6667 0.3333 0.7500
3 H 0.0000 0.0000 0.0000
4 H 0.0000 0.0000 0.5000

---

Nd3Cl: simulated powder diffraction line list (a wavelength of 1.5418 Å), based on a GGA-PBE-relaxed structure.
Lines closer than 0.1° are merged.

Principal peaks in the range 10° ≤ 2θ ≤ 90°, in order of falling intensity:
two_theta  I_rel
33.18  100.0
28.29  25.4
62.13  21.0
34.33  20.5
50.09  20.2
22.09  18.0
60.75  17.2
61.41  16.2
45.06  14.1
83.10  13.4
24.44  7.4
82.52  7.0

Atomic structure:
Cell: 7.2845 7.2845 5.2248 Å, 90.00 90.00 120.00°
Fractional positions:
1 Nd 0.1724 0.3448 0.2500
2 Nd 0.1724 0.8276 0.2500
3 Nd 0.3448 0.1724 0.7500
4 Nd 0.6552 0.8276 0.2500
5 Nd 0.8276 0.1724 0.7500
6 Nd 0.8276 0.6552 0.7500
7 Cl 0.3333 0.6667 0.7500
8 Cl 0.6667 0.3333 0.2500

---

MgTe4Mo2W2Se2S2: simulated powder diffraction line list (a wavelength of 1.5418 Å), based on a GGA-PBE-relaxed structure.
Lines closer than 0.1° are merged.

Principal peaks in the range 10° ≤ 2θ ≤ 90°, in order of falling intensity:
two_theta  I_rel
39.69  100.0
34.21  73.5
30.46  56.7
11.40  50.4
54.11  39.1
37.27  33.5
31.96  29.7
55.08  26.9
69.16  19.1
41.00  18.6
32.61  16.7
46.81  16.1

Atomic structure:
Cell: 3.3902 3.3902 46.5664 Å, 90.00 90.00 120.00°
Fractional positions:
1 Mg 0.0000 0.0000 0.0000
2 Te 0.3333 0.6667 0.0650
3 Te 0.3333 0.6667 0.1464
4 Te 0.6667 0.3333 0.4957
5 Te 0.6667 0.3333 0.5763
6 Mo 0.3333 0.6667 0.5360
7 Mo 0.6667 0.3333 0.7240
8 W 0.3333 0.6667 0.9033
9 W 0.6667 0.3333 0.1059
10 Se 0.3333 0.6667 0.6885
11 Se 0.3333 0.6667 0.7594
12 S 0.6667 0.3333 0.8710
13 S 0.6667 0.3333 0.9358